# 1
Computed powder XRD pattern of Sm2Si2O7 for Cu Kα (weighted mean of Kα1 and Kα2), from a structure optimized by DFT (PBE).

Peak list (8 most intense, 10° ≤ 2θ ≤ 90°, by angle)
two_theta, Rel. int.
12.48, 100
26.37, 62
26.47, 76
26.90, 93
27.07, 51
27.28, 47
29.71, 33
33.42, 49

Structural model:
```
Sm2Si2O7
1.0
5.3652 0.0000 0.0000
-0.2265 8.5226 0.0000
-0.2047 -0.0727 12.8108
Sm Si O
8 8 28
Direct
0.2364 0.3163 0.2697
0.2429 0.9020 0.9084
0.2444 0.7983 0.2316
0.2594 0.3986 0.5882
0.7406 0.6014 0.4118
0.7556 0.2017 0.7684
0.7571 0.0980 0.0916
0.7636 0.6837 0.7303
0.2170 0.2554 0.9796
0.2192 0.0060 0.6776
0.2824 0.5050 0.8216
0.2864 0.7502 0.5242
0.7136 0.2498 0.4758
0.7176 0.4950 0.1784
0.7808 0.9940 0.3224
0.7830 0.7446 0.0204
0.0034 0.8553 0.0807
0.0074 0.0860 0.2633
0.0277 0.6530 0.5518
0.0304 0.4754 0.7480
0.1160 0.1817 0.6657
0.1246 0.2577 0.0989
0.2344 0.4359 0.9381
0.2839 0.9313 0.5640
0.3639 0.7420 0.4031
0.3765 0.6872 0.8219
0.4631 0.0005 0.7563
0.4715 0.1593 0.9592
0.4920 0.3554 0.4196
0.4925 0.5824 0.2378
0.5075 0.4176 0.7622
0.5080 0.6446 0.5804
0.5285 0.8407 0.0408
0.5369 0.9995 0.2437
0.6235 0.3128 0.1781
0.6361 0.2580 0.5969
0.7161 0.0687 0.4360
0.7656 0.5641 0.0619
0.8754 0.7423 0.9011
0.8840 0.8183 0.3343
0.9696 0.5246 0.2520
0.9723 0.3470 0.4482
0.9926 0.9140 0.7367
0.9966 0.1447 0.9193
```

# 2
Computed powder XRD pattern of AgBF6 for Cu Kα (weighted mean of Kα1 and Kα2), from a structure optimized by DFT (PBE).

Peak list (8 most intense, 10° ≤ 2θ ≤ 90°, by angle)
two_theta, Rel. int.
22.58, 100
26.13, 15
37.29, 21
44.04, 48
46.10, 50
53.76, 25
59.04, 19
71.94, 15

Structural model:
```
AgBF6
1.0
0.0000 3.4101 3.4101
3.4101 0.0000 3.4101
3.4101 3.4101 0.0000
Ag B F
1 1 6
Direct
0.0000 0.0000 0.0000
0.7500 0.7500 0.7500
0.5177 0.5177 0.9823
0.5177 0.9823 0.5177
0.5177 0.9823 0.9823
0.9823 0.5177 0.5177
0.9823 0.5177 0.9823
0.9823 0.9823 0.5177
```

# 3
Computed powder XRD pattern of ZnIr15 for Cu Kα (weighted mean of Kα1 and Kα2), from a structure optimized by DFT (PBE).

Peak list (8 most intense, 10° ≤ 2θ ≤ 90°, by angle)
two_theta, Rel. int.
38.23, 30
40.34, 100
40.53, 99
40.62, 52
47.04, 99
68.73, 42
82.67, 25
83.02, 46

Structural model:
```
ZnIr15
1.0
4.7252 0.0000 0.0000
0.0000 35.6438 0.0000
-1.5861 0.0000 4.4513
Zn Ir
2 30
Direct
0.0000 0.2112 0.2500
0.0000 0.7888 0.7500
0.0000 0.2493 0.7500
0.0000 0.2891 0.2500
0.0000 0.3270 0.7500
0.0000 0.3659 0.2500
0.0000 0.4037 0.7500
0.0000 0.4420 0.2500
0.0000 0.4807 0.7500
0.0000 0.5193 0.2500
0.0000 0.5580 0.7500
0.0000 0.5963 0.2500
0.0000 0.6341 0.7500
0.0000 0.6730 0.2500
0.0000 0.7109 0.7500
0.0000 0.7507 0.2500
0.5000 0.2152 0.7500
0.5000 0.2493 0.2500
0.5000 0.2885 0.7500
0.5000 0.3270 0.2500
0.5000 0.3644 0.7500
0.5000 0.4039 0.2500
0.5000 0.4425 0.7500
0.5000 0.4806 0.2500
0.5000 0.5194 0.7500
0.5000 0.5575 0.2500
0.5000 0.5961 0.7500
0.5000 0.6356 0.2500
0.5000 0.6730 0.7500
0.5000 0.7115 0.2500
0.5000 0.7507 0.7500
0.5000 0.7848 0.2500
```